Diffraction record for CaTl2Cu2Cl6. The powder diffraction line list is simulated, not measured: it uses the GGA-PBE geometry in Alexandria and Cu Kα, 1.54184 Å.
Lines closer than 0.1° are merged.

Peak list (10 most intense, 2θ = 5–70°, in order of falling intensity)
| two_theta | I/Imax |
| --- | --- |
| 23.91 | 100 |
| 29.30 | 68 |
| 27.44 | 51 |
| 26.92 | 50 |
| 24.24 | 48 |
| 22.83 | 45 |
| 16.67 | 42 |
| 33.72 | 41 |
| 37.07 | 27 |
| 41.83 | 23 |

Structure:
```
CaTl2Cu2Cl6
1.0
6.4787 -3.6711 0.0000
6.4787 3.6711 0.0000
-4.1766 0.0000 6.4993
Ca Tl Cu Cl
1 2 2 6
Direct
0.0000 0.0000 0.0000
0.2308 0.2308 0.7020
0.7692 0.7692 0.2980
0.4449 0.4449 0.2732
0.5551 0.5551 0.7268
0.1949 0.6922 0.6974
0.2449 0.2449 0.1429
0.3078 0.8051 0.3026
0.6922 0.1949 0.6974
0.7551 0.7551 0.8571
0.8051 0.3078 0.3026
```